[1]
Mo3Se2S2: calculated powder diffraction line list (Cu Kα, 1.54184 Å), based on a cell relaxed with PBE.

Structural model:
```
14
Lattice="6.5387 0.0000 0.0000 -0.1911 6.6065 0.0000 -0.1872 -0.1991 6.6042" Properties=species:S:1:pos:R:3 pbc="T T T"
Mo 0.0000 0.0000 0.0000
Mo 0.1425 1.4342 2.4873
Mo 0.7422 4.3397 1.3052
Mo 0.9294 5.8567 3.7388
Mo 2.4283 0.2657 1.5506
Mo 5.0116 5.6138 2.2127
Se 1.9104 5.2797 6.0336
Se 2.3526 1.4881 3.7921
Se 4.9119 4.1657 6.5894
Se 6.0991 3.7026 3.5429
S 1.2479 2.0692 0.4019
S 2.7537 4.7226 2.5970
S 4.6851 1.1330 1.1338
S 5.5120 0.2591 4.2971
```

Top 10 peaks for 5° ≤ 2θ ≤ 70°, by angle:
13.41°, I = 100
13.55°, I = 59
33.13°, I = 40
33.30°, I = 25
40.48°, I = 15
40.64°, I = 32
42.33°, I = 19
42.94°, I = 16
45.47°, I = 50
45.86°, I = 27

---

[2]
TbInAg2: calculated powder diffraction line list (Cu Kα, 1.54184 Å), based on a cell relaxed with PBE.

Structural model:
```
16
Lattice="7.0295 0.0000 0.0000 0.0000 7.0295 0.0000 0.0000 0.0000 7.0295" Properties=species:S:1:pos:R:3 pbc="T T T"
Tb 0.0000 0.0000 0.0000
Tb 0.0000 3.5148 3.5148
Tb 3.5148 0.0000 3.5148
Tb 3.5148 3.5148 0.0000
In 0.0000 0.0000 3.5148
In 0.0000 3.5148 0.0000
In 3.5148 0.0000 0.0000
In 3.5148 3.5148 3.5148
Ag 1.7574 1.7574 1.7574
Ag 1.7574 1.7574 5.2721
Ag 1.7574 5.2721 1.7574
Ag 1.7574 5.2721 5.2721
Ag 5.2721 1.7574 1.7574
Ag 5.2721 1.7574 5.2721
Ag 5.2721 5.2721 1.7574
Ag 5.2721 5.2721 5.2721
```

Top 7 peaks for 5° ≤ 2θ ≤ 70°, by angle:
21.90°, I = 2
25.34°, I = 1
36.14°, I = 100
42.66°, I = 1
52.04°, I = 17
58.74°, I = 1
65.00°, I = 34

---

[3]
Si: calculated powder diffraction line list (Cu Kα, 1.54184 Å), based on a cell relaxed with PBE.

Structural model:
```
8
Lattice="3.4480 0.0000 0.0000 0.0000 10.3799 0.0000 0.0000 0.0000 3.4775" Properties=species:S:1:pos:R:3 pbc="T T T"
Si 0.0000 0.9743 0.8694
Si 0.0000 3.4812 0.8694
Si 0.0000 6.8987 2.6081
Si 0.0000 9.4056 2.6081
Si 1.7240 1.7088 2.6081
Si 1.7240 4.2157 2.6081
Si 1.7240 6.1642 0.8694
Si 1.7240 8.6711 0.8694
```

Top 10 peaks for 5° ≤ 2θ ≤ 70°, by angle:
34.56°, I = 25
36.80°, I = 17
37.75°, I = 100
43.51°, I = 39
45.38°, I = 30
51.38°, I = 20
52.64°, I = 18
53.12°, I = 18
64.51°, I = 8
64.94°, I = 8

---

[4]
Na2LiSbF6: calculated powder diffraction line list (Cu Kα, 1.54184 Å), based on a cell relaxed with PBE.

Structural model:
```
10
Lattice="0.0000 4.2029 4.2029 4.2029 0.0000 4.2029 4.2029 4.2029 0.0000" Properties=species:S:1:pos:R:3 pbc="T T T"
Na 2.1014 2.1014 2.1014
Na 6.3043 6.3043 6.3043
Li 0.0000 0.0000 0.0000
Sb 4.2029 4.2029 4.2029
F 4.2029 4.2029 2.0245
F 4.2029 2.0245 4.2029
F 6.3812 4.2029 4.2029
F 2.0245 4.2029 4.2029
F 4.2029 6.3812 4.2029
F 4.2029 4.2029 6.3812
```

Top 10 peaks for 5° ≤ 2θ ≤ 70°, by angle:
18.28°, I = 100
21.14°, I = 65
30.07°, I = 69
35.42°, I = 68
43.04°, I = 58
47.13°, I = 34
48.43°, I = 26
53.40°, I = 28
56.92°, I = 20
62.51°, I = 33

---

[5]
TlCuPO4: calculated powder diffraction line list (Cu Kα, 1.54184 Å), based on a cell relaxed with PBE.

Structural model:
```
28
Lattice="3.4853 -3.4902 0.0000 3.4853 3.4902 0.0000 -1.4981 0.0000 18.2031" Properties=species:S:1:pos:R:3 pbc="T T T"
Tl 2.6358 2.0453 10.2312
Tl 2.0877 2.0453 17.0734
Tl 3.3848 -2.0453 1.1296
Tl 2.8368 -2.0453 7.9719
Cu 0.6071 0.5449 13.6373
Cu 1.3561 -0.5449 4.5358
Cu 4.1164 0.5449 13.6673
Cu 4.8655 -0.5449 4.5658
P 3.0476 1.1988 2.6732
P 3.1740 1.1988 6.4283
P 2.2986 -1.1988 11.7748
P 2.4249 -1.1988 15.5298
O 2.3548 2.4967 6.1763
O 1.8218 1.2037 3.7076
O 2.5141 1.1565 1.2456
O 3.8668 2.4967 2.9253
O 1.5976 0.0986 15.2455
O 2.3467 -0.0986 6.1440
O 3.7075 1.1565 7.8560
O 1.0727 -1.2037 12.8091
O 4.3998 1.2037 5.3940
O 1.7650 -1.1565 10.3471
O 3.1258 0.0986 12.0591
O 3.8749 -0.0986 2.9575
O 1.6057 -2.4967 15.2778
O 2.9584 -1.1565 16.9575
O 3.6507 -1.2037 14.4955
O 3.1177 -2.4967 12.0268
```

Top 10 peaks for 5° ≤ 2θ ≤ 70°, by angle:
22.58°, I = 100
23.93°, I = 73
25.65°, I = 35
26.71°, I = 51
27.37°, I = 59
28.24°, I = 48
29.50°, I = 77
29.66°, I = 75
31.40°, I = 72
36.51°, I = 67

---

[6]
Ca3CrN3: calculated powder diffraction line list (Cu Kα, 1.54184 Å), based on a cell relaxed with PBE.

Structural model:
```
14
Lattice="4.2191 -5.1399 0.0000 4.2191 5.1399 0.0000 0.0000 0.0000 5.0609" Properties=species:S:1:pos:R:3 pbc="T T T"
Ca 4.2191 4.0422 3.7956
Ca 2.4215 1.2075 3.7956
Ca 2.4215 -1.2075 1.2652
Ca 6.0166 1.2075 3.7956
Ca 6.0166 -1.2075 1.2652
Ca 4.2191 -4.0422 1.2652
Cr 4.2191 2.0127 1.2652
Cr 4.2191 -2.0127 3.7956
N 4.2191 3.8346 1.2652
N 2.6002 1.2969 1.2652
N 2.6002 -1.2969 3.7956
N 5.8379 1.2969 1.2652
N 5.8379 -1.2969 3.7956
N 4.2191 -3.8346 3.7956
```

Top 10 peaks for 5° ≤ 2θ ≤ 70°, by angle:
32.67°, I = 100
33.02°, I = 24
33.32°, I = 30
34.91°, I = 35
35.48°, I = 72
42.87°, I = 22
50.63°, I = 20
55.36°, I = 23
56.80°, I = 22
67.49°, I = 19

---

[7]
Mg6MnCd: calculated powder diffraction line list (Cu Kα, 1.54184 Å), based on a cell relaxed with PBE.

Structural model:
```
16
Lattice="5.0048 0.0000 0.0000 0.0000 6.2368 0.0000 0.0000 0.0000 10.8450" Properties=species:S:1:pos:R:3 pbc="T T T"
Mg 0.0000 0.0000 0.0000
Mg 0.0000 1.5240 8.0933
Mg 0.0000 1.5945 2.6708
Mg 0.0000 3.1184 5.4225
Mg 0.0000 4.6424 2.6708
Mg 0.0000 4.7129 8.0933
Mg 2.5024 0.0000 1.7987
Mg 2.5024 1.5556 4.5080
Mg 2.5024 1.5628 9.9305
Mg 2.5024 3.1184 7.2211
Mg 2.5024 4.6740 9.9305
Mg 2.5024 4.6812 4.5080
Mn 2.5024 0.0000 7.2281
Mn 2.5024 3.1184 1.8056
Cd 0.0000 0.0000 5.4566
Cd 0.0000 3.1184 0.0341
```

Top 10 peaks for 5° ≤ 2θ ≤ 70°, by angle:
16.39°, I = 50
24.22°, I = 31
33.14°, I = 18
33.80°, I = 18
35.89°, I = 26
37.79°, I = 100
39.68°, I = 11
49.62°, I = 16
59.07°, I = 11
65.76°, I = 18